The following is a calculated X-ray powder pattern of NaYVF6. It was derived from a PBE+U-relaxed structure, using CuKα.

Principal peaks in the range 5° ≤ 2θ ≤ 70°, low angle first:
Position (°2θ)	I (rel.)
17.21	15
19.34	40
24.56	100
31.34	52
36.02	24
39.29	13
47.69	71
50.35	22
59.55	15
60.52	28

Structure:
```
data_NaYVF6
_cell_length_a 5.1257
_cell_length_b 5.1257
_cell_length_c 10.3077
_cell_angle_alpha 90.00
_cell_angle_beta 90.00
_cell_angle_gamma 90.00
_space_group_name_H-M_alt 'P 42 n m'
_space_group_IT_number 102
loop_
_space_group_symop_operation_xyz
'x,y,z'
'-y+1/2,x+1/2,z+1/2'
'-x,-y,z'
'y+1/2,-x+1/2,z+1/2'
'-x+1/2,y+1/2,z+1/2'
'y,x,z'
'x+1/2,-y+1/2,z+1/2'
'-y,-x,z'
loop_
_atom_site_label
_atom_site_type_symbol
_atom_site_fract_x
_atom_site_fract_y
_atom_site_fract_z
Na1 Na 0.0000 0.0000 0.0000
Y1 Y 0.0000 0.0000 0.3331
V1 V 0.0000 0.0000 0.6677
F1 F 0.1847 0.1847 0.5043
F2 F 0.1966 0.1966 0.8218
F3 F 0.2067 0.2067 0.1769
```